RbTeI4: simulated powder diffractogram (Cu Kα (λ = 1.5418 Å)), based on a crystal structure in Alexandria, relaxed with GGA-PBE.
No peak broadening, texture or thermal motion is included.

Peak list (10 most intense, 2θ from 10° to 90°, in order of rising 2θ)
13.65°, d 6.487, rel. 100.0; 14.46°, d 6.126, rel. 66.2; 16.99°, d 5.218, rel. 48.9; 22.38°, d 3.972, rel. 39.3; 27.21°, d 3.278, rel. 62.1; 28.98°, d 3.081, rel. 67.7; 29.15°, d 3.063, rel. 75.0; 41.57°, d 2.173, rel. 66.4; 41.76°, d 2.163, rel. 36.8; 51.74°, d 1.767, rel. 39.0

Crystal structure
Cell: 6.126 12.973 8.783 Å, 90.00 90.09 90.00°
Fractional coordinates of all 12 atoms:
Rb (0.003, 0.250, 0.467)
Rb (0.997, 0.750, 0.533)
Te (0.498, 0.750, 0.118)
Te (0.502, 0.250, 0.882)
I (0.002, 0.250, 0.892)
I (0.498, 0.750, 0.783)
I (0.499, 0.582, 0.357)
I (0.499, 0.918, 0.357)
I (0.501, 0.082, 0.643)
I (0.501, 0.418, 0.643)
I (0.502, 0.250, 0.217)
I (0.998, 0.750, 0.108)

RbTlTe2I: simulated powder diffractogram (Cu Kα (λ = 1.5418 Å)), based on a crystal structure in Alexandria, relaxed with GGA-PBE.
No peak broadening, texture or thermal motion is included.

Peak list (10 most intense, 2θ from 10° to 90°, in order of rising 2θ)
13.32°, d 6.647, rel. 44.3; 15.17°, d 5.842, rel. 69.0; 20.24°, d 4.388, rel. 32.1; 25.38°, d 3.509, rel. 51.8; 26.82°, d 3.324, rel. 70.3; 30.60°, d 2.921, rel. 100.0; 41.14°, d 2.194, rel. 89.1; 43.83°, d 2.066, rel. 37.2; 52.14°, d 1.754, rel. 44.6; 78.70°, d 1.216, rel. 26.7

Crystal structure
Cell: 5.842 5.842 6.647 Å, 90.00 90.00 90.00°
Fractional coordinates of all 5 atoms:
Rb (0.000, 0.000, 0.000)
Tl (0.500, 0.500, 0.500)
Te (0.000, 0.500, 0.500)
Te (0.500, 0.000, 0.500)
I (0.500, 0.500, 0.000)

Rb3ThI7: simulated powder diffractogram (Cu Kα (λ = 1.5418 Å)), based on a crystal structure in Alexandria, relaxed with GGA-PBE.
No peak broadening, texture or thermal motion is included.

Peak list (10 most intense, 2θ from 10° to 90°, in order of rising 2θ)
11.48°, d 7.709, rel. 78.4; 12.10°, d 7.315, rel. 35.0; 13.95°, d 6.349, rel. 31.9; 19.11°, d 4.645, rel. 46.7; 28.09°, d 3.177, rel. 60.2; 29.32°, d 3.046, rel. 40.2; 30.12°, d 2.967, rel. 100.0; 30.82°, d 2.902, rel. 32.2; 32.08°, d 2.790, rel. 29.5; 36.86°, d 2.438, rel. 28.0

Crystal structure
Cell: 8.620 8.620 9.610 Å, 115.93 115.93 84.63°
Fractional coordinates of all 11 atoms:
Rb (0.000, 0.000, 0.000)
Rb (0.289, 0.730, 0.593)
Rb (0.730, 0.289, 0.593)
Th (0.561, 0.561, 0.149)
I (0.197, 0.535, 0.839)
I (0.367, 0.367, 0.247)
I (0.374, 0.878, 0.312)
I (0.535, 0.197, 0.839)
I (0.704, 0.704, 0.975)
I (0.861, 0.861, 0.510)
I (0.878, 0.374, 0.312)

RbTi2I8: simulated powder diffractogram (Cu Kα (λ = 1.5418 Å)), based on a crystal structure in Alexandria, relaxed with GGA-PBE.
No peak broadening, texture or thermal motion is included.

Peak list (10 most intense, 2θ from 10° to 90°, in order of rising 2θ)
11.45°, d 7.726, rel. 22.0; 14.12°, d 6.274, rel. 22.5; 18.26°, d 4.859, rel. 27.3; 21.20°, d 4.191, rel. 100.0; 24.05°, d 3.700, rel. 27.3; 24.37°, d 3.652, rel. 56.0; 29.93°, d 2.985, rel. 23.6; 34.92°, d 2.570, rel. 26.1; 37.47°, d 2.400, rel. 27.2; 46.16°, d 1.967, rel. 22.5

Crystal structure
Cell: 9.787 9.787 7.760 Å, 100.95 100.95 71.42°
Fractional coordinates of all 11 atoms:
Rb (0.000, 0.000, 0.000)
Ti (0.206, 0.206, 0.673)
Ti (0.794, 0.794, 0.327)
I (0.062, 0.691, 0.260)
I (0.213, 0.213, 0.341)
I (0.309, 0.938, 0.740)
I (0.361, 0.361, 0.870)
I (0.639, 0.639, 0.130)
I (0.691, 0.062, 0.260)
I (0.787, 0.787, 0.659)
I (0.938, 0.309, 0.740)

RbTi4I7: simulated powder diffractogram (Cu Kα (λ = 1.5418 Å)), based on a crystal structure in Alexandria, relaxed with GGA-PBE.
No peak broadening, texture or thermal motion is included.

Peak list (10 most intense, 2θ from 10° to 90°, in order of rising 2θ)
11.48°, d 7.707, rel. 15.3; 23.08°, d 3.853, rel. 34.4; 26.51°, d 3.362, rel. 100.0; 33.23°, d 2.696, rel. 24.4; 34.61°, d 2.592, rel. 24.7; 40.85°, d 2.209, rel. 14.2; 42.01°, d 2.151, rel. 14.0; 42.71°, d 2.117, rel. 33.3; 48.74°, d 1.868, rel. 16.1; 55.40°, d 1.658, rel. 12.4

Crystal structure
Cell: 5.183 21.570 7.707 Å, 90.00 90.00 90.00°
Fractional coordinates of all 24 atoms:
Rb (0.250, 0.250, 0.159)
Rb (0.750, 0.750, 0.841)
Ti (0.250, 0.502, 0.902)
Ti (0.250, 0.608, 0.109)
Ti (0.250, 0.892, 0.109)
Ti (0.250, 0.998, 0.902)
Ti (0.750, 0.002, 0.098)
Ti (0.750, 0.108, 0.891)
Ti (0.750, 0.392, 0.891)
Ti (0.750, 0.498, 0.098)
I (0.250, 0.008, 0.269)
I (0.250, 0.119, 0.748)
I (0.250, 0.381, 0.748)
I (0.250, 0.492, 0.269)
I (0.250, 0.630, 0.757)
I (0.250, 0.750, 0.177)
I (0.250, 0.870, 0.757)
I (0.750, 0.130, 0.243)
I (0.750, 0.250, 0.823)
I (0.750, 0.370, 0.243)
I (0.750, 0.508, 0.731)
I (0.750, 0.619, 0.252)
I (0.750, 0.881, 0.252)
I (0.750, 0.992, 0.731)

Rb4Tl3I8: simulated powder diffractogram (Cu Kα (λ = 1.5418 Å)), based on a crystal structure in Alexandria, relaxed with GGA-PBE.
No peak broadening, texture or thermal motion is included.

Peak list (10 most intense, 2θ from 10° to 90°, in order of rising 2θ)
24.56°, d 3.625, rel. 85.6; 24.67°, d 3.609, rel. 83.8; 25.03°, d 3.558, rel. 80.1; 35.07°, d 2.559, rel. 100.0; 35.35°, d 2.539, rel. 64.7; 35.82°, d 2.507, rel. 30.4; 43.26°, d 2.091, rel. 36.7; 43.91°, d 2.062, rel. 34.0; 57.02°, d 1.615, rel. 31.6; 62.77°, d 1.480, rel. 23.8

Crystal structure
Cell: 10.159 10.159 10.029 Å, 119.11 119.11 91.06°
Fractional coordinates of all 15 atoms:
Rb (0.000, 0.000, 0.000)
Rb (0.000, 0.500, 0.000)
Rb (0.500, 0.000, 0.000)
Rb (0.500, 0.500, 0.500)
Tl (0.000, 0.500, 0.500)
Tl (0.500, 0.000, 0.500)
Tl (0.500, 0.500, 0.000)
I (0.249, 0.751, 0.500)
I (0.257, 0.743, 0.000)
I (0.258, 0.258, 0.526)
I (0.264, 0.264, 0.996)
I (0.736, 0.736, 0.004)
I (0.742, 0.742, 0.474)
I (0.743, 0.257, 0.000)
I (0.751, 0.249, 0.500)

Rb2Tl2I7: simulated powder diffractogram (Cu Kα (λ = 1.5418 Å)), based on a crystal structure in Alexandria, relaxed with GGA-PBE.
No peak broadening, texture or thermal motion is included.

Peak list (10 most intense, 2θ from 10° to 90°, in order of rising 2θ)
13.29°, d 6.663, rel. 64.5; 17.19°, d 5.158, rel. 84.1; 17.70°, d 5.011, rel. 100.0; 19.07°, d 4.654, rel. 98.5; 22.74°, d 3.910, rel. 75.7; 29.18°, d 3.061, rel. 41.3; 30.38°, d 2.942, rel. 44.4; 32.20°, d 2.780, rel. 46.0; 33.49°, d 2.676, rel. 49.0; 34.44°, d 2.604, rel. 41.6

Crystal structure
Cell: 7.104 18.694 9.658 Å, 90.00 100.35 90.00°
Fractional coordinates of all 22 atoms:
Rb (0.188, 0.130, 0.449)
Rb (0.188, 0.370, 0.949)
Rb (0.812, 0.630, 0.051)
Rb (0.812, 0.870, 0.551)
Tl (0.309, 0.622, 0.625)
Tl (0.309, 0.878, 0.125)
Tl (0.691, 0.122, 0.875)
Tl (0.691, 0.378, 0.375)
I (0.025, 0.179, 0.063)
I (0.025, 0.321, 0.563)
I (0.230, 0.565, 0.897)
I (0.230, 0.935, 0.397)
I (0.421, 0.235, 0.753)
I (0.421, 0.265, 0.253)
I (0.500, 0.000, 0.000)
I (0.500, 0.500, 0.500)
I (0.579, 0.735, 0.747)
I (0.579, 0.765, 0.247)
I (0.770, 0.065, 0.603)
I (0.770, 0.435, 0.103)
I (0.975, 0.679, 0.437)
I (0.975, 0.821, 0.937)

RbTl4I5: simulated powder diffractogram (Cu Kα (λ = 1.5418 Å)), based on a crystal structure in Alexandria, relaxed with GGA-PBE.
No peak broadening, texture or thermal motion is included.

Peak list (10 most intense, 2θ from 10° to 90°, in order of rising 2θ)
21.46°, d 4.141, rel. 5.1; 24.83°, d 3.586, rel. 100.0; 35.40°, d 2.536, rel. 79.4; 43.72°, d 2.071, rel. 29.2; 50.93°, d 1.793, rel. 14.0; 57.46°, d 1.604, rel. 38.8; 63.55°, d 1.464, rel. 28.5; 74.89°, d 1.268, rel. 8.8; 80.31°, d 1.195, rel. 18.3; 85.65°, d 1.134, rel. 12.7

Crystal structure
Cell: 13.417 13.417 13.417 Å, 158.20 149.00 38.22°
Fractional coordinates of all 10 atoms:
Rb (0.000, 0.000, 0.000)
Tl (0.203, 0.203, 0.000)
Tl (0.399, 0.399, 0.000)
Tl (0.601, 0.601, 0.000)
Tl (0.797, 0.797, 0.000)
I (0.105, 0.605, 0.500)
I (0.302, 0.802, 0.500)
I (0.500, 0.000, 0.500)
I (0.698, 0.198, 0.500)
I (0.895, 0.395, 0.500)

RbTl2WI8: simulated powder diffractogram (Cu Kα (λ = 1.5418 Å)), based on a crystal structure in Alexandria, relaxed with GGA-PBE.
No peak broadening, texture or thermal motion is included.

Peak list (10 most intense, 2θ from 10° to 90°, in order of rising 2θ)
13.36°, d 6.629, rel. 45.3; 14.52°, d 6.102, rel. 17.9; 20.97°, d 4.237, rel. 29.2; 22.36°, d 3.976, rel. 27.1; 27.15°, d 3.285, rel. 100.0; 28.66°, d 3.115, rel. 38.5; 30.75°, d 2.907, rel. 19.4; 35.21°, d 2.549, rel. 15.1; 37.48°, d 2.399, rel. 27.4; 42.11°, d 2.146, rel. 34.7

Crystal structure
Cell: 7.102 8.161 10.195 Å, 90.04 90.05 111.04°
Fractional coordinates of all 12 atoms:
Rb (0.000, 0.000, 0.000)
Tl (0.003, 0.501, 0.237)
Tl (0.997, 0.499, 0.763)
W (0.000, 0.000, 0.500)
I (0.234, 0.800, 0.502)
I (0.243, 0.216, 0.689)
I (0.245, 0.215, 0.311)
I (0.299, 0.711, 0.999)
I (0.701, 0.289, 0.001)
I (0.755, 0.785, 0.689)
I (0.757, 0.784, 0.311)
I (0.766, 0.200, 0.498)

Rb6Tm3I14: simulated powder diffractogram (Cu Kα (λ = 1.5418 Å)), based on a crystal structure in Alexandria, relaxed with GGA-PBE.
No peak broadening, texture or thermal motion is included.

Peak list (10 most intense, 2θ from 10° to 90°, in order of rising 2θ)
13.33°, d 6.644, rel. 57.0; 13.92°, d 6.361, rel. 45.3; 23.54°, d 3.779, rel. 100.0; 24.58°, d 3.622, rel. 41.8; 26.00°, d 3.427, rel. 73.5; 26.84°, d 3.322, rel. 37.6; 28.06°, d 3.180, rel. 53.8; 35.78°, d 2.510, rel. 38.1; 40.74°, d 2.215, rel. 32.3; 41.10°, d 2.196, rel. 40.4

Crystal structure
Cell: 13.288 13.288 7.633 Å, 90.00 90.00 120.00°
Fractional coordinates of all 23 atoms:
Rb (0.031, 0.565, 0.000)
Rb (0.308, 0.108, 0.490)
Rb (0.435, 0.466, 0.000)
Rb (0.534, 0.969, 0.000)
Rb (0.800, 0.692, 0.490)
Rb (0.892, 0.200, 0.490)
Tm (0.000, 0.000, 0.907)
Tm (0.333, 0.667, 0.417)
Tm (0.667, 0.333, 0.781)
I (0.000, 0.000, 0.286)
I (0.086, 0.856, 0.771)
I (0.144, 0.230, 0.771)
I (0.184, 0.436, 0.279)
I (0.252, 0.816, 0.279)
I (0.333, 0.667, 0.796)
I (0.449, 0.195, 0.001)
I (0.530, 0.414, 0.557)
I (0.564, 0.748, 0.279)
I (0.586, 0.117, 0.557)
I (0.746, 0.551, 0.001)
I (0.770, 0.914, 0.771)
I (0.805, 0.254, 0.001)
I (0.883, 0.470, 0.557)

Rb2TmI5: simulated powder diffractogram (Cu Kα (λ = 1.5418 Å)), based on a crystal structure in Alexandria, relaxed with GGA-PBE.
No peak broadening, texture or thermal motion is included.

Peak list (10 most intense, 2θ from 10° to 90°, in order of rising 2θ)
12.92°, d 6.854, rel. 81.3; 16.79°, d 5.279, rel. 29.0; 21.87°, d 4.065, rel. 22.3; 26.00°, d 3.427, rel. 100.0; 28.01°, d 3.185, rel. 98.5; 36.97°, d 2.432, rel. 25.1; 40.03°, d 2.252, rel. 34.6; 44.46°, d 2.038, rel. 21.9; 44.58°, d 2.032, rel. 36.2; 48.36°, d 1.882, rel. 28.0

Crystal structure
Cell: 9.010 9.010 10.558 Å, 90.00 90.00 90.00°
Fractional coordinates of all 16 atoms:
Rb (0.000, 0.500, 0.000)
Rb (0.000, 0.500, 0.500)
Rb (0.500, 0.000, 0.000)
Rb (0.500, 0.000, 0.500)
Tm (0.000, 0.000, 0.222)
Tm (0.500, 0.500, 0.722)
I (0.000, 0.000, 0.957)
I (0.229, 0.229, 0.272)
I (0.229, 0.771, 0.272)
I (0.271, 0.271, 0.772)
I (0.271, 0.729, 0.772)
I (0.500, 0.500, 0.457)
I (0.729, 0.271, 0.772)
I (0.729, 0.729, 0.772)
I (0.771, 0.229, 0.272)
I (0.771, 0.771, 0.272)

Rb3UI8: simulated powder diffractogram (Cu Kα (λ = 1.5418 Å)), based on a crystal structure in Alexandria, relaxed with GGA-PBE.
No peak broadening, texture or thermal motion is included.

Peak list (10 most intense, 2θ from 10° to 90°, in order of rising 2θ)
10.57°, d 8.370, rel. 31.0; 18.36°, d 4.833, rel. 29.2; 21.23°, d 4.185, rel. 13.6; 30.20°, d 2.959, rel. 100.0; 32.08°, d 2.790, rel. 11.5; 35.57°, d 2.524, rel. 15.4; 38.79°, d 2.322, rel. 21.5; 43.23°, d 2.093, rel. 15.2; 53.64°, d 1.709, rel. 27.5; 59.47°, d 1.554, rel. 13.4

Crystal structure
Cell: 8.370 8.370 8.370 Å, 90.00 90.00 90.00°
Fractional coordinates of all 12 atoms:
Rb (0.000, 0.000, 0.500)
Rb (0.000, 0.500, 0.000)
Rb (0.500, 0.000, 0.000)
U (0.500, 0.500, 0.500)
I (0.279, 0.279, 0.279)
I (0.279, 0.279, 0.721)
I (0.279, 0.721, 0.279)
I (0.279, 0.721, 0.721)
I (0.721, 0.279, 0.279)
I (0.721, 0.279, 0.721)
I (0.721, 0.721, 0.279)
I (0.721, 0.721, 0.721)